# 1
Structure and calculated powder diffraction line list of Zn2FeSb (a structure optimized by DFT (GGA-PBE); Cu Kα (λ = 1.5418 Å)).

The 8 most intense peaks (2θ = 15–90°), by angle:
| 2theta | I (rel.) |
| --- | --- |
| 32.33 | 22.8 |
| 32.56 | 15.8 |
| 37.57 | 100.0 |
| 43.54 | 41.1 |
| 54.34 | 10.4 |
| 55.41 | 13.6 |
| 63.27 | 12.8 |
| 75.98 | 23.3 |

Structural model:
```
Zn2FeSb
1.0
2.939 0.000 0.000
0.000 2.939 0.000
0.000 0.000 8.250
Zn Fe Sb
2 1 1
direct
0.000 0.000 0.193
0.000 0.000 0.807
0.500 0.500 0.000
0.500 0.500 0.500
```

---

# 2
Structure and calculated powder diffraction line list of In2HgMo (a structure optimized by DFT (GGA-PBE); Cu Kα (λ = 1.5418 Å)).

The 8 most intense peaks (2θ = 15–90°), by angle:
| 2theta | I (rel.) |
| --- | --- |
| 35.29 | 100.0 |
| 37.14 | 16.7 |
| 41.89 | 16.8 |
| 43.66 | 14.9 |
| 57.21 | 9.4 |
| 62.11 | 10.3 |
| 72.24 | 12.1 |
| 74.74 | 11.1 |

Structural model:
```
In2HgMo
1.0
2.073 -2.156 0.000
2.073 2.156 0.000
0.000 0.000 9.682
In Hg Mo
2 1 1
direct
0.000 0.000 0.000
0.500 0.500 0.288
0.000 0.000 0.561
0.500 0.500 0.780
```